1.
Calculated powder diffractogram of Y2CuSe2O for a wavelength of 1.5418 Å, from a DFT-relaxed cell (PBE, the Materials Project).
Kinematic intensities with the Lorentz-polarization factor, no thermal factor.

Largest 10 diffraction maxima, in order of rising 2θ, 2θ = 10–90°:
3.574 Å, 2θ = 24.91°, rel. 100, hkl 1 0 0
2.527 Å, 2θ = 35.52°, rel. 39, hkl 1 1 0
2.503 Å, 2θ = 35.88°, rel. 13, hkl 1 0 4
2.337 Å, 2θ = 38.52°, rel. 11, hkl 0 0 6
1.956 Å, 2θ = 46.42°, rel. 26, hkl 1 0 6
1.787 Å, 2θ = 51.11°, rel. 13, hkl 2 0 0
1.716 Å, 2θ = 53.39°, rel. 17, hkl 1 1 6
1.598 Å, 2θ = 57.67°, rel. 18, hkl 2 1 0
1.420 Å, 2θ = 65.78°, rel. 9, hkl 2 0 6
1.319 Å, 2θ = 71.51°, rel. 13, hkl 2 1 6

Structural model:
abc: 3.5740 3.5740 14.0246
angles: 90.00 90.00 90.00
Space group P4/mmm (No. 123)
Inequivalent atoms, fractional coordinates:
Y1 0.0000 0.0000 0.1449 x2
Cu1 0.0000 0.0000 0.5000 x1
Se1 0.0000 0.0000 0.3409 x2
O1 0.0000 0.0000 0.0000 x1

2.
Calculated powder diffractogram of Li5B4 for a wavelength of 1.5418 Å, from a DFT-relaxed cell (PBE, the Materials Project).
Kinematic intensities with the Lorentz-polarization factor, no thermal factor.

Largest 10 diffraction maxima, in order of rising 2θ, 2θ = 10–90°:
4.761 Å, 2θ = 18.64°, rel. 100, hkl 1 1 0
3.795 Å, 2θ = 23.44°, rel. 20, hkl 0 0 1
3.304 Å, 2θ = 26.98°, rel. 36, hkl 2 0 0
2.641 Å, 2θ = 33.94°, rel. 13, hkl 2 0 -1
2.095 Å, 2θ = 43.19°, rel. 58, hkl 2 2 -1
1.948 Å, 2θ = 46.63°, rel. 54, hkl 2 2 1
1.924 Å, 2θ = 47.24°, rel. 16, hkl 3 1 -1
1.716 Å, 2θ = 53.38°, rel. 29, hkl 0 4 0
1.652 Å, 2θ = 55.63°, rel. 19, hkl 4 0 0
1.453 Å, 2θ = 64.11°, rel. 14, hkl 1 3 -2

Structural model:
abc: 6.6500 6.8657 3.8183
angles: 90.00 96.37 90.00
Space group Cm (No. 8)
Inequivalent atoms, fractional coordinates:
Li1 0.0000 0.0000 0.0000 x2
Li2 0.0316 0.2546 0.4795 x4
Li3 0.0949 0.5000 0.9522 x2
Li4 0.2916 0.5000 0.4780 x2
B1 0.2770 0.0000 0.7150 x2
B2 0.2976 0.2104 0.9640 x4
B3 0.3161 0.0000 0.2114 x2

Which formula does entry 2 have? Li5B4

Repeat the first record exactly.
Calculated powder diffractogram of Y2CuSe2O for a wavelength of 1.5418 Å, from a DFT-relaxed cell (PBE, the Materials Project).
Kinematic intensities with the Lorentz-polarization factor, no thermal factor.

Largest 10 diffraction maxima, in order of rising 2θ, 2θ = 10–90°:
3.574 Å, 2θ = 24.91°, rel. 100, hkl 1 0 0
2.527 Å, 2θ = 35.52°, rel. 39, hkl 1 1 0
2.503 Å, 2θ = 35.88°, rel. 13, hkl 1 0 4
2.337 Å, 2θ = 38.52°, rel. 11, hkl 0 0 6
1.956 Å, 2θ = 46.42°, rel. 26, hkl 1 0 6
1.787 Å, 2θ = 51.11°, rel. 13, hkl 2 0 0
1.716 Å, 2θ = 53.39°, rel. 17, hkl 1 1 6
1.598 Å, 2θ = 57.67°, rel. 18, hkl 2 1 0
1.420 Å, 2θ = 65.78°, rel. 9, hkl 2 0 6
1.319 Å, 2θ = 71.51°, rel. 13, hkl 2 1 6

Structural model:
abc: 3.5740 3.5740 14.0246
angles: 90.00 90.00 90.00
Space group P4/mmm (No. 123)
Inequivalent atoms, fractional coordinates:
Y1 0.0000 0.0000 0.1449 x2
Cu1 0.0000 0.0000 0.5000 x1
Se1 0.0000 0.0000 0.3409 x2
O1 0.0000 0.0000 0.0000 x1